1.
Structure and calculated X-ray diffraction stick pattern of YMgMo3O8 (DFT lattice parameters and positions (PBE+U); a wavelength of 1.5418 Å).
Neutral-atom scattering factors, no anomalous dispersion.

Largest 10 diffraction maxima, by intensity, 2θ from 15° to 90°:
2θ 32.9, rel. 100
2θ 17.4, rel. 91
2θ 23.8, rel. 84
2θ 23.9, rel. 71
2θ 32.1, rel. 46
2θ 48.7, rel. 41
2θ 48.2, rel. 39
2θ 48.9, rel. 32
2θ 36.6, rel. 32
2θ 49.4, rel. 31

Cell and atoms:
Cell lengths 5.084, 6.243, 6.388 Å; angles 60.87, 89.15, 89.42 degrees
Element x y z (fractional)
Y1 0.000 0.000 0.000
Mg1 0.064 0.331 0.337
Mo1 0.505 0.506 0.504
Mo2 0.505 0.983 0.504
Mo3 0.514 0.504 0.992
O1 0.259 0.173 0.640
O2 0.260 0.641 0.176
O3 0.264 0.182 0.175
O4 0.297 0.675 0.676
O5 0.697 0.322 0.335
O6 0.712 0.820 0.838
O7 0.715 0.339 0.839
O8 0.732 0.845 0.337

2.
Structure and calculated X-ray diffraction stick pattern of YMgMo3O8 (DFT lattice parameters and positions (PBE+U); a wavelength of 1.5418 Å).
Neutral-atom scattering factors, no anomalous dispersion.

Largest 10 diffraction maxima, by intensity, 2θ from 15° to 90°:
2θ 16.1, rel. 100
2θ 47.1, rel. 49
2θ 23.1, rel. 46
2θ 32.9, rel. 43
2θ 33.5, rel. 31
2θ 33.3, rel. 26
2θ 46.8, rel. 22
2θ 32.5, rel. 21
2θ 47.6, rel. 21
2θ 37.1, rel. 18

Cell and atoms:
Cell lengths 5.513, 6.164, 6.231 Å; angles 60.75, 89.46, 89.53 degrees
Element x y z (fractional)
Y1 0.000 0.000 0.000
Mg1 0.500 0.000 0.000
Mo1 0.500 0.000 0.500
Mo2 0.500 0.500 0.000
Mo3 0.500 0.500 0.500
O1 0.291 0.164 0.157
O2 0.294 0.681 0.154
O3 0.296 0.149 0.683
O4 0.315 0.674 0.677
O5 0.685 0.326 0.323
O6 0.704 0.851 0.317
O7 0.706 0.319 0.846
O8 0.709 0.836 0.843